For TbLuCuNi, a cell relaxed with GGA-PBE gives the computed powder diffraction line list in this record (Cu Ka).
Intensities are scaled so that the largest is 100.

Cell and atoms:
```
TbLuCuNi
1.0
6.7787 0.0000 0.0000
0.0000 6.7787 0.0000
0.0000 0.0000 6.7787
Tb Lu Cu Ni
4 4 4 4
Direct
0.0000 0.0000 0.0000
0.0000 0.5000 0.5000
0.5000 0.0000 0.5000
0.5000 0.5000 0.0000
0.0000 0.0000 0.5000
0.0000 0.5000 0.0000
0.5000 0.0000 0.0000
0.5000 0.5000 0.5000
0.2500 0.2500 0.2500
0.2500 0.7500 0.7500
0.7500 0.2500 0.7500
0.7500 0.7500 0.2500
0.2500 0.2500 0.7500
0.2500 0.7500 0.2500
0.7500 0.2500 0.2500
0.7500 0.7500 0.7500
```

Top 8 peaks for 2θ = 10–90°, by angle:
2theta, Rel. int., h k l
26.29, 22, 2 0 0
37.53, 100, 2 2 0
46.40, 7, 2 2 2
54.12, 17, 4 0 0
61.14, 9, 4 2 0
67.72, 34, 4 2 2
80.08, 11, 4 4 0
86.06, 5, 6 0 0